# 1
# Cs3Li2Se2
Simulated powder diffractogram, CuKα. Input: a DFT-relaxed cell (PBE, Alexandria).

Top 8 peaks for 10 to 90 degrees two-theta, sorted by position:
- (2 1 0), 2θ = 22.75°, I = 67
- (1 2 1), 2θ = 23.79°, I = 94
- (1 0 4), 2θ = 25.96°, I = 100
- (0 2 3), 2θ = 27.40°, I = 46
- (2 2 0), 2θ = 29.06°, I = 57
- (3 1 1), 2θ = 32.89°, I = 38
- (1 3 1), 2θ = 33.39°, I = 91
- (0 0 8), 2θ = 48.82°, I = 32

Atomic structure:
```
data_Cs3Li2Se2
_chemical_formula_sum 'Cs12 Li8 Se8'
_space_group_name_H-M_alt 'P b c m'
_space_group_IT_number 57
_space_group_name_Hall '-P 2c 2b'
_cell_length_a 8.774
_cell_length_b 8.611
_cell_length_c 14.918
_cell_angle_alpha 90.00
_cell_angle_beta 90.00
_cell_angle_gamma 90.00
loop_
_atom_site_label
_atom_site_fract_x
_atom_site_fract_y
_atom_site_fract_z
Cs1 0.093 0.173 0.123
Cs2 0.406 0.653 0.750
Li1 0.373 0.525 0.070
Se1 0.226 0.002 0.750
Se2 0.458 0.250 0.000
```

***

# 2
# CsLiSmSe2
Simulated powder diffractogram, CuKα. Input: a DFT-relaxed cell (PBE, Alexandria).

Top 8 peaks for 10 to 90 degrees two-theta, sorted by position:
- (0 0 1), 2θ = 13.71°, I = 32
- (0 2 1), 2θ = 17.88°, I = 45
- (1 3 1), 2θ = 25.15°, I = 100
- (2 2 0), 2θ = 26.72°, I = 33
- (0 2 2), 2θ = 29.99°, I = 26
- (2 0 2), 2θ = 36.97°, I = 42
- (2 6 0), 2θ = 42.71°, I = 23
- (3 3 1), 2θ = 43.01°, I = 23

Atomic structure:
```
data_CsLiSmSe2
_chemical_formula_sum 'Cs4 Li4 Sm4 Se8'
_space_group_name_H-M_alt 'C m m e'
_space_group_IT_number 67
_space_group_name_Hall '-C 2a 2'
_cell_length_a 7.393
_cell_length_b 15.493
_cell_length_c 6.457
_cell_angle_alpha 90.00
_cell_angle_beta 90.00
_cell_angle_gamma 90.00
loop_
_atom_site_label
_atom_site_fract_x
_atom_site_fract_y
_atom_site_fract_z
Cs1 0.000 0.250 0.224
Li1 0.000 0.000 0.000
Sm1 0.250 0.000 0.500
Se1 0.000 0.106 0.720
```

***

# 3
# CsLiUSe4
Simulated powder diffractogram, CuKα. Input: a DFT-relaxed cell (PBE, Alexandria).

Top 8 peaks for 10 to 90 degrees two-theta, sorted by position:
- (1 1 0), 2θ = 20.17°, I = 100
- (1 0 2), 2θ = 25.12°, I = 38
- (2 0 -2), 2θ = 26.88°, I = 55
- (1 1 2), 2θ = 29.70°, I = 54
- (2 1 -2), 2θ = 31.22°, I = 39
- (1 2 0), 2θ = 34.06°, I = 30
- (0 2 2), 2θ = 36.57°, I = 32
- (3 1 0), 2θ = 42.14°, I = 40

Atomic structure:
```
data_CsLiUSe4
_chemical_formula_sum 'Cs2 Li2 U2 Se8'
_space_group_name_H-M_alt 'P 1 21/m 1'
_space_group_IT_number 11
_space_group_name_Hall '-P 2yb'
_cell_length_a 7.256
_cell_length_b 5.687
_cell_length_c 10.193
_cell_angle_alpha 90.00
_cell_angle_beta 106.70
_cell_angle_gamma 90.00
loop_
_atom_site_label
_atom_site_fract_x
_atom_site_fract_y
_atom_site_fract_z
Cs1 0.237 0.250 0.047
Li1 0.266 0.750 0.327
U1 0.267 0.250 0.555
Se1 0.014 0.511 0.682
Se2 0.432 0.750 0.575
Se3 0.491 0.750 0.190
```

***

# 4
# CsLiYSe2
Simulated powder diffractogram, CuKα. Input: a DFT-relaxed cell (PBE, Alexandria).

Top 8 peaks for 10 to 90 degrees two-theta, sorted by position:
- (0 2 1), 2θ = 17.97°, I = 20
- (2 0 0), 2θ = 24.67°, I = 15
- (1 3 1), 2θ = 25.40°, I = 100
- (2 2 0), 2θ = 27.30°, I = 18
- (0 2 2), 2θ = 30.12°, I = 15
- (2 0 2), 2θ = 37.46°, I = 30
- (2 6 0), 2θ = 43.26°, I = 17
- (3 3 1), 2θ = 43.89°, I = 22

Atomic structure:
```
data_CsLiYSe2
_chemical_formula_sum 'Cs4 Li4 Y4 Se8'
_space_group_name_H-M_alt 'C m m e'
_space_group_IT_number 67
_space_group_name_Hall '-C 2a 2'
_cell_length_a 7.217
_cell_length_b 15.398
_cell_length_c 6.431
_cell_angle_alpha 90.00
_cell_angle_beta 90.00
_cell_angle_gamma 90.00
loop_
_atom_site_label
_atom_site_fract_x
_atom_site_fract_y
_atom_site_fract_z
Cs1 0.000 0.250 0.226
Li1 0.000 0.000 0.000
Y1 0.250 0.000 0.500
Se1 0.000 0.106 0.716
```